Na2FeO3: theoretical powder X-ray diffraction pattern (Cu Kα, 1.54184 Å), based on a DFT-relaxed cell (GGA+U, Alexandria).
No peak broadening, texture or thermal motion is included.

Top 8 peaks for 2θ = 5–70°, low angle first:
- 17.35 deg, I = 289
- 18.52 deg, I = 786
- 33.03 deg, I = 223
- 33.40 deg, I = 315
- 38.05 deg, I = 1000
- 41.49 deg, I = 457
- 56.00 deg, I = 347
- 59.06 deg, I = 271

Structure:
Cell: 5.8374 5.8374 5.2861 Å, 97.63 97.63 122.22°
Positions (direct):
Na (0.0930, 0.9070, 0.5000)
Na (0.2513, 0.7569, 0.9901)
Na (0.7569, 0.2513, 0.4901)
Na (0.9070, 0.0930, 0.0000)
Fe (0.4115, 0.5365, 0.4737)
Fe (0.5365, 0.4115, 0.9737)
O (0.1220, 0.5425, 0.3209)
O (0.2120, 0.3563, 0.7208)
O (0.3563, 0.2120, 0.2208)
O (0.5425, 0.1220, 0.8209)
O (0.6426, 0.7389, 0.2445)
O (0.7389, 0.6426, 0.7445)